(1)
Starting from a structure optimized by DFT (PBE), the powder X-ray diffraction pattern of PmHgPb3 was calculated for Cu Kα X-rays.

Most intense lines, 10° ≤ 2θ ≤ 90°, most intense first:
31.75 deg, I = 100; 39.55 deg, I = 48; 25.95 deg, I = 42; 29.37 deg, I = 35; 39.38 deg, I = 34; 36.58 deg, I = 31; 61.61 deg, I = 25; 32.01 deg, I = 23; 49.93 deg, I = 22; 18.06 deg, I = 16; 67.33 deg, I = 16; 68.20 deg, I = 14

Cell and atoms:
Cell lengths 7.680, 7.680, 7.680 Å; angles 126.76, 102.70, 100.47 degrees
Fractional coordinates of all 10 atoms:
Pm (0.272, 0.022, 0.250)
Pm (0.728, 0.978, 0.750)
Hg (0.000, 0.000, 0.500)
Hg (0.000, 0.500, 0.000)
Pb (0.279, 0.529, 0.750)
Pb (0.308, 0.000, 0.808)
Pb (0.308, 0.500, 0.308)
Pb (0.692, 0.000, 0.192)
Pb (0.692, 0.500, 0.692)
Pb (0.721, 0.471, 0.250)


(2)
Starting from a structure optimized by DFT (PBE), the powder X-ray diffraction pattern of PmMg6Ag6 was calculated for Cu Kα X-rays.

Most intense lines, 10° ≤ 2θ ≤ 90°, most intense first:
36.62 deg, I = 100; 18.62 deg, I = 50; 41.37 deg, I = 47; 26.06 deg, I = 40; 36.14 deg, I = 35; 37.76 deg, I = 31; 53.60 deg, I = 29; 12.87 deg, I = 24; 40.96 deg, I = 22; 25.90 deg, I = 22; 37.00 deg, I = 20; 37.17 deg, I = 19

Cell and atoms:
Cell lengths 7.442, 7.442, 7.442 Å; angles 135.40, 100.38, 96.19 degrees
Fractional coordinates of all 13 atoms:
Pm (0.000, 0.000, 0.000)
Mg (0.193, 0.693, 0.500)
Mg (0.342, 0.000, 0.342)
Mg (0.346, 0.346, 0.000)
Mg (0.654, 0.654, 0.000)
Mg (0.658, 0.000, 0.658)
Mg (0.807, 0.307, 0.500)
Ag (0.000, 0.000, 0.500)
Ag (0.000, 0.500, 0.000)
Ag (0.224, 0.500, 0.724)
Ag (0.500, 0.000, 0.000)
Ag (0.500, 0.500, 0.500)
Ag (0.776, 0.500, 0.276)


(3)
Starting from a structure optimized by DFT (PBE), the powder X-ray diffraction pattern of Ba2Ti6O13 was calculated for Cu Kα X-rays.

Most intense lines, 10° ≤ 2θ ≤ 90°, most intense first:
29.48 deg, I = 100; 28.67 deg, I = 93; 31.16 deg, I = 64; 45.45 deg, I = 60; 29.84 deg, I = 55; 43.60 deg, I = 54; 19.53 deg, I = 53; 30.96 deg, I = 50; 43.83 deg, I = 46; 33.42 deg, I = 43; 24.43 deg, I = 37; 45.58 deg, I = 29

Cell and atoms:
Cell lengths 7.811, 7.811, 9.181 Å; angles 97.85, 97.85, 29.60 degrees
Fractional coordinates of all 21 atoms:
Ba (0.052, 0.052, 0.279)
Ba (0.948, 0.948, 0.721)
Ti (0.251, 0.251, 0.723)
Ti (0.331, 0.331, 0.056)
Ti (0.378, 0.378, 0.400)
Ti (0.622, 0.622, 0.600)
Ti (0.669, 0.669, 0.944)
Ti (0.749, 0.749, 0.277)
O (0.126, 0.126, 0.612)
O (0.199, 0.199, 0.930)
O (0.258, 0.258, 0.255)
O (0.327, 0.327, 0.581)
O (0.369, 0.369, 0.879)
O (0.428, 0.428, 0.198)
O (0.500, 0.500, 0.500)
O (0.572, 0.572, 0.802)
O (0.631, 0.631, 0.121)
O (0.673, 0.673, 0.419)
O (0.742, 0.742, 0.745)
O (0.801, 0.801, 0.070)
O (0.874, 0.874, 0.388)


(4)
Starting from a structure optimized by DFT (PBE), the powder X-ray diffraction pattern of LaTmPa was calculated for Cu Kα X-rays.

Most intense lines, 10° ≤ 2θ ≤ 90°, most intense first:
31.48 deg, I = 100; 37.28 deg, I = 33; 63.63 deg, I = 27; 51.99 deg, I = 22; 34.90 deg, I = 17; 11.47 deg, I = 14; 60.46 deg, I = 12; 53.75 deg, I = 12; 65.70 deg, I = 11; 85.16 deg, I = 9; 39.38 deg, I = 8; 87.96 deg, I = 6

Cell and atoms:
Cell lengths 3.411, 3.411, 15.423 Å; angles 90.00, 90.00, 90.00 degrees
Fractional coordinates of all 6 atoms:
La (0.000, 0.000, 0.000)
La (0.500, 0.500, 0.500)
Tm (0.000, 0.000, 0.693)
Tm (0.500, 0.500, 0.193)
Pa (0.000, 0.000, 0.343)
Pa (0.500, 0.500, 0.843)


(5)
Starting from a structure optimized by DFT (PBE), the powder X-ray diffraction pattern of TiZn3 was calculated for Cu Kα X-rays.

Most intense lines, 10° ≤ 2θ ≤ 90°, most intense first:
42.52 deg, I = 100; 36.87 deg, I = 25; 41.58 deg, I = 24; 81.49 deg, I = 18; 66.42 deg, I = 16; 76.53 deg, I = 16; 56.77 deg, I = 13; 82.12 deg, I = 13; 78.46 deg, I = 2; 27.50 deg, I = 2; 18.19 deg, I = 2; 31.79 deg, I = 1

Cell and atoms:
Cell lengths 5.630, 5.630, 4.344 Å; angles 90.00, 90.00, 120.00 degrees
Fractional coordinates of all 8 atoms:
Ti (0.333, 0.667, 0.250)
Ti (0.667, 0.333, 0.750)
Zn (0.165, 0.330, 0.750)
Zn (0.165, 0.835, 0.750)
Zn (0.330, 0.165, 0.250)
Zn (0.670, 0.835, 0.750)
Zn (0.835, 0.165, 0.250)
Zn (0.835, 0.670, 0.250)


(6)
Starting from a structure optimized by DFT (PBE), the powder X-ray diffraction pattern of Rb2BaTlF8 was calculated for Cu Kα X-rays.

Most intense lines, 10° ≤ 2θ ≤ 90°, most intense first:
25.78 deg, I = 100; 23.89 deg, I = 55; 24.07 deg, I = 54; 40.80 deg, I = 42; 41.02 deg, I = 42; 29.25 deg, I = 34; 13.88 deg, I = 31; 50.78 deg, I = 27; 39.51 deg, I = 26; 27.96 deg, I = 21; 47.68 deg, I = 19; 47.87 deg, I = 18

Cell and atoms:
Cell lengths 4.562, 8.220, 6.381 Å; angles 90.00, 90.44, 90.00 degrees
Fractional coordinates of all 12 atoms:
Rb (0.000, 0.239, 0.000)
Rb (0.000, 0.761, 0.000)
Ba (0.500, 0.500, 0.500)
Tl (0.500, 0.000, 0.500)
F (0.001, 0.500, 0.725)
F (0.008, 0.000, 0.334)
F (0.495, 0.205, 0.719)
F (0.495, 0.795, 0.719)
F (0.505, 0.205, 0.281)
F (0.505, 0.795, 0.281)
F (0.992, 0.000, 0.666)
F (0.999, 0.500, 0.275)


(7)
Starting from a structure optimized by DFT (PBE), the powder X-ray diffraction pattern of Mg2AlAu2 was calculated for Cu Kα X-rays.

Most intense lines, 10° ≤ 2θ ≤ 90°, most intense first:
39.74 deg, I = 100; 27.07 deg, I = 57; 21.69 deg, I = 50; 39.96 deg, I = 50; 28.03 deg, I = 30; 27.67 deg, I = 29; 27.90 deg, I = 28; 49.29 deg, I = 23; 72.52 deg, I = 17; 51.74 deg, I = 15; 71.99 deg, I = 15; 72.33 deg, I = 14

Cell and atoms:
Cell lengths 9.594, 6.449, 6.367 Å; angles 90.00, 90.00, 90.00 degrees
Fractional coordinates of all 20 atoms:
Mg (0.002, 0.250, 0.000)
Mg (0.002, 0.250, 0.500)
Mg (0.324, 0.250, 0.000)
Mg (0.324, 0.250, 0.500)
Mg (0.676, 0.750, 0.000)
Mg (0.676, 0.750, 0.500)
Mg (0.998, 0.750, 0.000)
Mg (0.998, 0.750, 0.500)
Al (0.326, 0.750, 0.000)
Al (0.326, 0.750, 0.500)
Al (0.674, 0.250, 0.000)
Al (0.674, 0.250, 0.500)
Au (0.172, 0.514, 0.250)
Au (0.172, 0.986, 0.750)
Au (0.481, 0.522, 0.750)
Au (0.481, 0.978, 0.250)
Au (0.519, 0.022, 0.750)
Au (0.519, 0.478, 0.250)
Au (0.828, 0.014, 0.250)
Au (0.828, 0.486, 0.750)


(8)
Starting from a structure optimized by DFT (PBE), the powder X-ray diffraction pattern of Er5Pb4Au was calculated for Cu Kα X-rays.

Most intense lines, 10° ≤ 2θ ≤ 90°, most intense first:
29.14 deg, I = 100; 41.36 deg, I = 62; 41.68 deg, I = 38; 28.71 deg, I = 35; 51.39 deg, I = 31; 75.85 deg, I = 18; 68.45 deg, I = 17; 68.23 deg, I = 13; 60.41 deg, I = 13; 31.59 deg, I = 12; 67.55 deg, I = 11; 34.26 deg, I = 10

Cell and atoms:
Cell lengths 7.526, 7.526, 7.526 Å; angles 99.83, 99.83, 131.18 degrees
Fractional coordinates of all 10 atoms:
Er (0.000, 0.000, 0.000)
Er (0.079, 0.465, 0.803)
Er (0.275, 0.079, 0.614)
Er (0.465, 0.662, 0.386)
Er (0.662, 0.275, 0.197)
Pb (0.160, 0.772, 0.199)
Pb (0.573, 0.960, 0.801)
Pb (0.772, 0.573, 0.613)
Pb (0.960, 0.160, 0.387)
Au (0.489, 0.489, 0.000)


(9)
Starting from a structure optimized by DFT (PBE), the powder X-ray diffraction pattern of AcMg2TlHg4 was calculated for Cu Kα X-rays.

Most intense lines, 10° ≤ 2θ ≤ 90°, most intense first:
31.79 deg, I = 100; 36.07 deg, I = 89; 21.45 deg, I = 44; 36.72 deg, I = 37; 48.83 deg, I = 31; 62.19 deg, I = 30; 68.14 deg, I = 19; 64.86 deg, I = 16; 65.28 deg, I = 14; 23.86 deg, I = 14; 52.42 deg, I = 14; 85.23 deg, I = 13

Cell and atoms:
Cell lengths 10.317, 10.317, 10.317 Å; angles 27.93, 27.93, 27.93 degrees
Fractional coordinates of all 8 atoms:
Ac (0.000, 0.000, 0.000)
Mg (0.243, 0.243, 0.243)
Mg (0.757, 0.757, 0.757)
Tl (0.500, 0.500, 0.500)
Hg (0.119, 0.119, 0.119)
Hg (0.390, 0.390, 0.390)
Hg (0.610, 0.610, 0.610)
Hg (0.881, 0.881, 0.881)


(10)
Starting from a structure optimized by DFT (PBE), the powder X-ray diffraction pattern of Sr2Ce2Pd15 was calculated for Cu Kα X-rays.

Most intense lines, 10° ≤ 2θ ≤ 90°, most intense first:
38.34 deg, I = 100; 43.06 deg, I = 69; 33.09 deg, I = 25; 38.03 deg, I = 24; 42.81 deg, I = 24; 33.53 deg, I = 24; 38.74 deg, I = 22; 69.43 deg, I = 18; 12.56 deg, I = 14; 68.89 deg, I = 14; 65.84 deg, I = 10; 82.01 deg, I = 10

Cell and atoms:
Cell lengths 7.191, 7.191, 7.191 Å; angles 81.40, 81.40, 81.40 degrees
Fractional coordinates of all 19 atoms:
Sr (0.139, 0.139, 0.139)
Sr (0.861, 0.861, 0.861)
Ce (0.393, 0.393, 0.393)
Ce (0.607, 0.607, 0.607)
Pd (0.000, 0.500, 0.500)
Pd (0.154, 0.154, 0.654)
Pd (0.154, 0.654, 0.154)
Pd (0.199, 0.500, 0.801)
Pd (0.199, 0.801, 0.500)
Pd (0.346, 0.846, 0.846)
Pd (0.500, 0.000, 0.500)
Pd (0.500, 0.199, 0.801)
Pd (0.500, 0.500, 0.000)
Pd (0.500, 0.801, 0.199)
Pd (0.654, 0.154, 0.154)
Pd (0.801, 0.199, 0.500)
Pd (0.801, 0.500, 0.199)
Pd (0.846, 0.346, 0.846)
Pd (0.846, 0.846, 0.346)


(11)
Starting from a structure optimized by DFT (PBE), the powder X-ray diffraction pattern of TaInTe was calculated for Cu Kα X-rays.

Most intense lines, 10° ≤ 2θ ≤ 90°, most intense first:
33.34 deg, I = 100; 36.84 deg, I = 84; 36.21 deg, I = 61; 13.02 deg, I = 49; 35.69 deg, I = 49; 43.11 deg, I = 48; 29.67 deg, I = 36; 34.46 deg, I = 27; 46.16 deg, I = 27; 33.14 deg, I = 26; 17.10 deg, I = 25; 18.19 deg, I = 25

Cell and atoms:
Cell lengths 8.572, 8.572, 12.426 Å; angles 121.56, 121.56, 36.26 degrees
Fractional coordinates of all 18 atoms:
Ta (0.024, 0.976, 0.500)
Ta (0.343, 0.878, 0.341)
Ta (0.395, 0.524, 0.343)
Ta (0.524, 0.395, 0.843)
Ta (0.878, 0.343, 0.841)
Ta (0.976, 0.024, 0.000)
In (0.140, 0.265, 0.235)
In (0.142, 0.434, 0.081)
In (0.265, 0.140, 0.735)
In (0.429, 0.862, 0.963)
In (0.434, 0.142, 0.581)
In (0.862, 0.429, 0.463)
Te (0.482, 0.520, 0.095)
Te (0.520, 0.482, 0.595)
Te (0.742, 0.839, 0.356)
Te (0.839, 0.742, 0.856)
Te (0.887, 0.996, 0.236)
Te (0.996, 0.887, 0.736)